For Ge5F12, a cell relaxed with GGA-PBE gives the theoretical powder X-ray diffraction pattern in this record (CuKα).

```
34
Lattice="8.632 0.000 0.000 0.000 7.809 0.000 -0.422 0.000 8.335" Properties=species:S:1:pos:R:3 pbc="T T T"
Ge 0.000 0.000 0.000
Ge -0.211 3.905 4.168
Ge 1.512 0.359 5.293
Ge 1.724 3.545 1.126
Ge 3.072 4.812 5.793
Ge 3.283 6.902 1.625
Ge 4.926 0.908 6.710
Ge 5.138 2.997 2.542
Ge 6.485 4.264 7.210
Ge 6.697 7.450 3.042
F 0.270 1.243 1.260
F 0.059 2.662 5.428
F 0.957 5.036 5.044
F 1.169 6.678 0.877
F 1.015 0.711 7.362
F 1.227 3.193 3.194
F 2.408 4.352 7.452
F 2.619 7.362 3.284
F 2.926 4.974 1.968
F 2.715 6.740 6.136
F 2.969 1.506 5.580
F 3.181 2.398 1.412
F 5.028 5.411 6.923
F 5.240 6.303 2.755
F 5.495 1.069 2.199
F 5.283 2.836 6.367
F 5.590 0.448 5.051
F 5.801 3.457 0.883
F 6.983 4.616 5.141
F 7.194 7.098 0.973
F 7.041 1.132 7.458
F 7.252 2.773 3.291
F 8.150 5.147 2.907
F 7.939 6.567 7.075
```

Top 6 peaks for 10° ≤ 2θ ≤ 90°, in order of falling intensity:
(1 0 -2), 2θ = 23.23°, I 100
(2 1 1), 2θ = 26.35°, I 94
(0 2 1), 2θ = 25.19°, I 51
(1 1 1), 2θ = 18.96°, I 35
(3 1 -1), 2θ = 34.47°, I 30
(0 2 0), 2θ = 22.77°, I 27